This entry pairs a crystal structure of CaFe8O12 with its calculated powder diffraction line list. Radiation: λ = 1.5418 Å (Cu Kα). Structure: a structure optimized by DFT (PBE+U).
Kinematic intensities with the Lorentz-polarization factor, no thermal factor.

Top 8 peaks for 2θ = 10–80°, in order of rising 2θ:
2θ (°)	I_rel	hkl
10.42	54	0 0 1
20.93	42	0 0 2
25.30	44	1 0 2
29.91	100	1 0 -2
32.34	49	1 2 0
33.10	54	1 -1 2
34.43	38	1 1 3
42.15	42	1 -2 1

Crystal structure
```
data_CaFe8O12
_chemical_formula_sum 'Ca1 Fe8 O12'
_cell_length_a 5.221
_cell_length_b 5.838
_cell_length_c 8.657
_cell_angle_alpha 83.65
_cell_angle_beta 79.18
_cell_angle_gamma 73.94
_symmetry_space_group_name_H-M 'P 1'
_symmetry_Int_Tables_number 1
loop_
_symmetry_equiv_pos_as_xyz
'x,y,z'
loop_
_atom_site_label
_atom_site_type_symbol
_atom_site_fract_x
_atom_site_fract_y
_atom_site_fract_z
Ca1 Ca 0.000 0.000 0.000
Fe1 Fe 0.068 0.496 0.866
Fe2 Fe 0.104 0.758 0.429
Fe3 Fe 0.119 0.259 0.572
Fe4 Fe 0.254 0.403 0.139
Fe5 Fe 0.559 0.645 0.736
Fe6 Fe 0.600 0.122 0.745
Fe7 Fe 0.658 0.092 0.339
Fe8 Fe 0.687 0.580 0.324
O1 O 0.298 0.646 0.941
O2 O 0.325 0.201 0.949
O3 O 0.342 0.406 0.363
O4 O 0.348 0.443 0.663
O5 O 0.373 0.971 0.658
O6 O 0.410 0.876 0.332
O7 O 0.792 0.793 0.837
O8 O 0.834 0.570 0.524
O9 O 0.848 0.311 0.795
O10 O 0.862 0.321 0.191
O11 O 0.886 0.065 0.525
O12 O 0.946 0.779 0.237
```

This entry pairs a crystal structure of Ca4Fe9O17 with its calculated powder diffraction line list. Radiation: λ = 1.5418 Å (Cu Kα). Structure: a structure optimized by DFT (PBE+U).
Kinematic intensities with the Lorentz-polarization factor, no thermal factor.

Top 8 peaks for 2θ = 10–80°, in order of rising 2θ:
2θ (°)	I_rel	hkl
29.59	89	3 1 0
31.28	100	0 0 4
31.64	69	3 1 -2
33.36	48	0 2 2
35.41	53	3 1 2
38.78	47	2 2 2
52.22	59	3 3 -1
60.85	51	6 2 -1

Crystal structure
```
data_Ca4Fe9O17
_chemical_formula_sum 'Ca8 Fe18 O34'
_cell_length_a 10.553
_cell_length_b 6.084
_cell_length_c 11.571
_cell_angle_alpha 90.00
_cell_angle_beta 98.63
_cell_angle_gamma 90.00
_symmetry_space_group_name_H-M 'C 1 2 1'
_symmetry_Int_Tables_number 5
loop_
_symmetry_equiv_pos_as_xyz
'x,y,z'
'-x,y,-z'
'x+1/2,y+1/2,z'
'-x+1/2,y+1/2,-z'
loop_
_atom_site_label
_atom_site_type_symbol
_atom_site_fract_x
_atom_site_fract_y
_atom_site_fract_z
Ca1 Ca 0.040 0.000 0.250
Ca2 Ca 0.206 0.499 0.241
Fe1 Fe 0.000 0.248 0.500
Fe2 Fe 0.000 0.668 0.000
Fe3 Fe 0.000 0.751 0.500
Fe4 Fe 0.129 0.499 0.775
Fe5 Fe 0.169 0.165 0.000
Fe6 Fe 0.248 0.003 0.492
O1 O 0.000 0.996 0.000
O2 O 0.008 0.655 0.177
O3 O 0.098 0.501 0.599
O4 O 0.099 0.995 0.594
O5 O 0.134 0.203 0.823
O6 O 0.148 0.256 0.405
O7 O 0.154 0.750 0.405
O8 O 0.166 0.499 0.020
O9 O 0.213 0.141 0.178
```

This entry pairs a crystal structure of Ca2Fe3O8 with its calculated powder diffraction line list. Radiation: λ = 1.5418 Å (Cu Kα). Structure: a structure optimized by DFT (PBE+U).
Kinematic intensities with the Lorentz-polarization factor, no thermal factor.

Top 8 peaks for 2θ = 10–80°, in order of rising 2θ:
2θ (°)	I_rel	hkl
17.06	100	2 0 0
27.79	59	1 1 1
30.33	51	3 1 -1
34.78	31	2 2 0
36.82	52	2 2 -1
45.43	59	4 2 -1
47.69	29	2 0 2
55.33	35	4 2 1

Crystal structure
```
data_Ca2Fe3O8
_chemical_formula_sum 'Ca4 Fe6 O16'
_cell_length_a 11.059
_cell_length_b 5.942
_cell_length_c 4.986
_cell_angle_alpha 90.00
_cell_angle_beta 109.91
_cell_angle_gamma 90.00
_symmetry_space_group_name_H-M 'C 1 2/m 1'
_symmetry_Int_Tables_number 12
loop_
_symmetry_equiv_pos_as_xyz
'x,y,z'
'-x,-y,-z'
'-x,y,-z'
'x,-y,z'
'x+1/2,y+1/2,z'
'-x+1/2,-y+1/2,-z'
'-x+1/2,y+1/2,-z'
'x+1/2,-y+1/2,z'
loop_
_atom_site_label
_atom_site_type_symbol
_atom_site_fract_x
_atom_site_fract_y
_atom_site_fract_z
Ca1 Ca 0.222 0.000 0.168
Fe1 Fe 0.000 0.244 0.500
Fe2 Fe 0.000 0.500 0.000
O1 O 0.098 0.500 0.404
O2 O 0.100 0.279 0.889
O3 O 0.104 0.000 0.465
```

This entry pairs a crystal structure of Ca2Fe2O5 with its calculated powder diffraction line list. Radiation: λ = 1.5418 Å (Cu Kα). Structure: a structure optimized by DFT (PBE+U).
Kinematic intensities with the Lorentz-polarization factor, no thermal factor.

Top 8 peaks for 2θ = 10–80°, in order of rising 2θ:
2θ (°)	I_rel	hkl
19.71	14	1 0 1
23.13	11	0 1 1
31.79	100	2 1 1
32.53	16	0 2 0
33.35	12	0 0 2
47.28	28	0 2 2
57.58	15	2 3 1
58.62	14	2 1 3

Crystal structure
```
data_Ca2Fe2O5
_chemical_formula_sum 'Ca4 Fe4 O10'
_cell_length_a 8.266
_cell_length_b 5.504
_cell_length_c 5.373
_cell_angle_alpha 90.00
_cell_angle_beta 90.00
_cell_angle_gamma 90.00
_symmetry_space_group_name_H-M 'P m n 21'
_symmetry_Int_Tables_number 31
loop_
_symmetry_equiv_pos_as_xyz
'x,y,z'
'-x+1/2,-y,z+1/2'
'-x,y,z'
'x+1/2,-y,z+1/2'
loop_
_atom_site_label
_atom_site_type_symbol
_atom_site_fract_x
_atom_site_fract_y
_atom_site_fract_z
Ca1 Ca 0.000 0.213 0.000
Ca2 Ca 0.000 0.723 0.403
Fe1 Fe 0.219 0.752 0.930
O1 O 0.000 0.793 0.818
O2 O 0.186 0.982 0.232
O3 O 0.190 0.480 0.181
```

This entry pairs a crystal structure of CaFeO3 with its calculated powder diffraction line list. Radiation: λ = 1.5418 Å (Cu Kα). Structure: a structure optimized by DFT (PBE+U).
Kinematic intensities with the Lorentz-polarization factor, no thermal factor.

Top 8 peaks for 2θ = 10–80°, in order of rising 2θ:
2θ (°)	I_rel	hkl
23.25	27	1 0 1
32.88	25	2 0 0
33.13	100	1 2 1
33.31	24	0 0 2
47.50	40	2 0 2
47.62	22	0 4 0
59.39	35	1 2 3
69.54	18	2 4 2

Crystal structure
```
data_CaFeO3
_chemical_formula_sum 'Ca4 Fe4 O12'
_cell_length_a 5.448
_cell_length_b 7.639
_cell_length_c 5.380
_cell_angle_alpha 90.00
_cell_angle_beta 90.00
_cell_angle_gamma 90.00
_symmetry_space_group_name_H-M 'P n m a'
_symmetry_Int_Tables_number 62
loop_
_symmetry_equiv_pos_as_xyz
'x,y,z'
'-x,-y,-z'
'-x+1/2,-y,z+1/2'
'x+1/2,y,-z+1/2'
'x+1/2,-y+1/2,-z+1/2'
'-x+1/2,y+1/2,z+1/2'
'-x,y+1/2,-z'
'x,-y+1/2,z'
loop_
_atom_site_label
_atom_site_type_symbol
_atom_site_fract_x
_atom_site_fract_y
_atom_site_fract_z
Ca1 Ca 0.044 0.250 0.009
Fe1 Fe 0.000 0.000 0.500
O1 O 0.017 0.750 0.425
O2 O 0.211 0.539 0.789
```

This entry pairs a crystal structure of CaFe4O8 with its calculated powder diffraction line list. Radiation: λ = 1.5418 Å (Cu Kα). Structure: a structure optimized by DFT (PBE+U).
Kinematic intensities with the Lorentz-polarization factor, no thermal factor.

Top 8 peaks for 2θ = 10–80°, in order of rising 2θ:
2θ (°)	I_rel	hkl
12.92	61	2 0 -1
19.38	53	2 0 -2
27.68	43	4 0 -1
30.52	71	2 0 -3
34.74	52	4 0 0
35.50	100	3 1 -1
36.38	65	3 1 -2
50.58	55	5 1 -4

Crystal structure
```
data_CaFe4O8
_chemical_formula_sum 'Ca2 Fe8 O16'
_cell_length_a 13.794
_cell_length_b 3.058
_cell_length_c 9.161
_cell_angle_alpha 90.00
_cell_angle_beta 131.52
_cell_angle_gamma 90.00
_symmetry_space_group_name_H-M 'C 1 m 1'
_symmetry_Int_Tables_number 8
loop_
_symmetry_equiv_pos_as_xyz
'x,y,z'
'x,-y,z'
'x+1/2,y+1/2,z'
'x+1/2,-y+1/2,z'
loop_
_atom_site_label
_atom_site_type_symbol
_atom_site_fract_x
_atom_site_fract_y
_atom_site_fract_z
Ca1 Ca 0.000 0.000 0.000
Fe1 Fe 0.227 0.500 0.896
Fe2 Fe 0.228 0.000 0.550
Fe3 Fe 0.434 0.000 0.269
Fe4 Fe 0.436 0.500 0.598
O1 O 0.048 0.000 0.333
O2 O 0.120 0.000 0.853
O3 O 0.228 0.500 0.683
O4 O 0.242 0.500 0.426
O5 O 0.318 0.500 0.179
O6 O 0.380 0.000 0.016
O7 O 0.414 0.000 0.739
O8 O 0.463 0.000 0.498
```

This entry pairs a crystal structure of CaFe8O12 with its calculated powder diffraction line list. Radiation: λ = 1.5418 Å (Cu Kα). Structure: a structure optimized by DFT (PBE+U).
Kinematic intensities with the Lorentz-polarization factor, no thermal factor.

Top 8 peaks for 2θ = 10–80°, in order of rising 2θ:
2θ (°)	I_rel	hkl
14.73	20	1 0 0
26.80	29	1 0 -2
33.94	100	0 2 0
34.32	21	2 1 0
48.57	24	3 1 0
50.71	21	2 2 -2
52.69	24	1 1 -4
60.78	25	1 3 2

Crystal structure
```
data_CaFe8O12
_chemical_formula_sum 'Ca1 Fe8 O12'
_cell_length_a 6.043
_cell_length_b 5.276
_cell_length_c 7.531
_cell_angle_alpha 90.00
_cell_angle_beta 95.46
_cell_angle_gamma 90.00
_symmetry_space_group_name_H-M 'P 1 2 1'
_symmetry_Int_Tables_number 3
loop_
_symmetry_equiv_pos_as_xyz
'x,y,z'
'-x,y,-z'
loop_
_atom_site_label
_atom_site_type_symbol
_atom_site_fract_x
_atom_site_fract_y
_atom_site_fract_z
Ca1 Ca 0.000 0.000 0.000
Fe1 Fe 0.172 0.041 0.415
Fe2 Fe 0.291 0.529 0.591
Fe3 Fe 0.302 0.512 0.092
Fe4 Fe 0.464 0.021 0.768
O1 O 0.000 0.378 0.500
O2 O 0.000 0.590 0.000
O3 O 0.177 0.872 0.662
O4 O 0.240 0.180 0.184
O5 O 0.354 0.362 0.836
O6 O 0.372 0.698 0.335
O7 O 0.500 0.223 0.500
O8 O 0.500 0.821 0.000
```

This entry pairs a crystal structure of CaFe2O4 with its calculated powder diffraction line list. Radiation: λ = 1.5418 Å (Cu Kα). Structure: a structure optimized by DFT (PBE+U).
Kinematic intensities with the Lorentz-polarization factor, no thermal factor.

Top 8 peaks for 2θ = 10–80°, in order of rising 2θ:
2θ (°)	I_rel	hkl
17.34	32	0 0 3
28.50	24	0 1 4
33.55	100	2 0 1
35.09	12	0 2 2
40.75	31	2 0 4
53.77	41	2 0 7
58.99	48	2 2 0
69.60	11	0 4 1

Crystal structure
```
data_CaFe2O4
_chemical_formula_sum 'Ca6 Fe12 O24'
_cell_length_a 6.2652
_cell_length_b 6.2652
_cell_length_c 15.3336
_cell_angle_alpha 90.00
_cell_angle_beta 90.00
_cell_angle_gamma 120.00
_symmetry_space_group_name_H-M 'P 3 m 1'
_symmetry_Int_Tables_number 156
loop_
_symmetry_equiv_pos_as_xyz
'x,y,z'
'-y,x-y,z'
'-x+y,-x,z'
'-y,-x,z'
'-x+y,y,z'
'x,x-y,z'
loop_
_atom_site_label
_atom_site_type_symbol
_atom_site_fract_x
_atom_site_fract_y
_atom_site_fract_z
Ca1 Ca 0.0000 0.0000 0.0000
Ca2 Ca 0.0000 0.0000 0.2455
Ca3 Ca 0.3333 0.6667 0.3328
Ca4 Ca 0.3333 0.6667 0.5814
Ca5 Ca 0.3333 0.6667 0.9585
Ca6 Ca 0.6667 0.3333 0.6585
Fe1 Fe 0.0000 0.0000 0.6186
Fe2 Fe 0.0040 0.5020 0.1271
Fe3 Fe 0.1630 0.3260 0.7847
Fe4 Fe 0.3347 0.1673 0.4524
Fe5 Fe 0.6667 0.3333 0.2901
Fe6 Fe 0.6667 0.3333 0.9085
O1 O 0.0000 0.0000 0.3929
O2 O 0.0000 0.0000 0.8523
O3 O 0.1387 0.2774 0.5426
O4 O 0.1807 0.3614 0.0591
O5 O 0.2777 0.1389 0.7041
O6 O 0.3333 0.6667 0.1929
O7 O 0.3333 0.6667 0.7263
O8 O 0.3910 0.1955 0.2024
O9 O 0.5005 0.0010 0.8567
O10 O 0.5260 0.0520 0.3714
O11 O 0.6667 0.3333 0.0338
O12 O 0.6667 0.3333 0.5152
```

This entry pairs a crystal structure of Ca2Fe2O5 with its calculated powder diffraction line list. Radiation: λ = 1.5418 Å (Cu Kα). Structure: a structure optimized by DFT (PBE+U).
Kinematic intensities with the Lorentz-polarization factor, no thermal factor.

Top 8 peaks for 2θ = 10–80°, in order of rising 2θ:
2θ (°)	I_rel	hkl
23.97	39	0 0 4
31.83	100	2 2 0
32.90	61	0 2 4
33.15	51	2 0 4
45.25	31	0 4 0
49.12	22	0 0 8
52.19	23	3 3 3
57.23	21	2 4 4

Crystal structure
```
data_Ca2Fe2O5
_chemical_formula_sum 'Ca16 Fe16 O40'
_cell_length_a 7.889
_cell_length_b 8.016
_cell_length_c 14.837
_cell_angle_alpha 90.00
_cell_angle_beta 90.00
_cell_angle_gamma 90.00
_symmetry_space_group_name_H-M 'F m m m'
_symmetry_Int_Tables_number 69
_symmetry_space_group_name_Hall '-F 2 2'
loop_
_atom_site_label
_atom_site_type_symbol
_atom_site_fract_x
_atom_site_fract_y
_atom_site_fract_z
Ca1 Ca 0.000 0.220 0.144
Fe1 Fe 0.183 0.000 0.500
Fe2 Fe 0.250 0.000 0.250
O1 O 0.000 0.000 0.271
O2 O 0.000 0.168 0.500
O3 O 0.198 0.000 0.109
O4 O 0.250 0.250 0.250
```

This entry pairs a crystal structure of CaFe2O4 with its calculated powder diffraction line list. Radiation: λ = 1.5418 Å (Cu Kα). Structure: a structure optimized by DFT (PBE+U).
Kinematic intensities with the Lorentz-polarization factor, no thermal factor.

Top 8 peaks for 2θ = 10–80°, in order of rising 2θ:
2θ (°)	I_rel	hkl
17.28	40	1 0 1
28.40	23	1 1 2
33.43	100	2 1 1
40.64	24	2 2 0
53.46	13	1 0 5
53.62	30	3 2 1
58.73	34	2 2 4
58.83	17	4 0 0

Crystal structure
```
data_CaFe2O4
_chemical_formula_sum 'Ca4 Fe8 O16'
_cell_length_a 6.279
_cell_length_b 6.279
_cell_length_c 8.908
_cell_angle_alpha 90.00
_cell_angle_beta 90.00
_cell_angle_gamma 90.00
_symmetry_space_group_name_H-M 'I 41/a m d'
_symmetry_Int_Tables_number 141
loop_
_symmetry_equiv_pos_as_xyz
'x,y,z'
'-x,-y,-z'
'-y+1/4,x+3/4,z+1/4'
'y+1/4,-x+3/4,-z+1/4'
'-x+1/2,-y,z+1/2'
'x+1/2,y,-z+1/2'
'y+1/4,-x+1/4,z+3/4'
'-y+1/4,x+1/4,-z+3/4'
'x,-y,-z'
'-x,y,z'
'-y+1/4,-x+1/4,-z+3/4'
'y+1/4,x+1/4,z+3/4'
'-x+1/2,y,-z+1/2'
'x+1/2,-y,z+1/2'
'y+1/4,x+3/4,-z+1/4'
'-y+1/4,-x+3/4,z+1/4'
'x+1/2,y+1/2,z+1/2'
'-x+1/2,-y+1/2,-z+1/2'
'-y+3/4,x+1/4,z+3/4'
'y+3/4,-x+1/4,-z+3/4'
'-x,-y+1/2,z'
'x,y+1/2,-z'
'y+3/4,-x+3/4,z+1/4'
'-y+3/4,x+3/4,-z+1/4'
'x+1/2,-y+1/2,-z+1/2'
'-x+1/2,y+1/2,z+1/2'
'-y+3/4,-x+3/4,-z+1/4'
'y+3/4,x+3/4,z+1/4'
'-x,y+1/2,-z'
'x,-y+1/2,z'
'y+3/4,x+1/4,-z+3/4'
'-y+3/4,-x+1/4,z+3/4'
loop_
_atom_site_label
_atom_site_type_symbol
_atom_site_fract_x
_atom_site_fract_y
_atom_site_fract_z
Ca1 Ca 0.000 0.250 0.375
Fe1 Fe 0.000 0.000 0.000
O1 O 0.000 0.035 0.768
```